Entry 1:
Starting from DFT lattice parameters and positions (PBE), the powder diffraction line list of Tb2YOsO8 was calculated for λ = 1.5418 Å (Cu Kα).

```
data_Tb2YOsO8
_cell_length_a 7.1224
_cell_length_b 7.1786
_cell_length_c 6.8089
_cell_angle_alpha 90.00
_cell_angle_beta 90.00
_cell_angle_gamma 90.00
_symmetry_space_group_name_H-M 'C m m m'
_symmetry_Int_Tables_number 65
_symmetry_space_group_name_Hall '-C 2 2'
loop_
_atom_site_label
_atom_site_type_symbol
_atom_site_fract_x
_atom_site_fract_y
_atom_site_fract_z
Tb1 Tb 0.0000 0.0000 0.2471
Y1 Y 0.0000 0.5000 0.0000
Os1 Os 0.0000 0.5000 0.5000
O1 O 0.0000 0.3175 0.2910
O2 O 0.1928 0.0000 0.0000
O3 O 0.2370 0.0000 0.5000
```

Largest 10 diffraction maxima, most intense first, 15 to 90 degrees two-theta:
two_theta  d/Å  I (rel.)  index
31.69  2.824  100  1 1 2
24.81  3.589  58  0 2 0
25.00  3.561  54  2 0 0
48.21  1.888  40  1 3 2
48.43  1.879  37  3 1 2
35.51  2.528  29  2 2 0
61.38  1.510  22  3 3 2
60.21  1.537  19  0 2 4
21.90  4.059  11  1 1 1
66.18  1.412  11  2 2 4

***

Entry 2:
Starting from DFT lattice parameters and positions (PBE), the powder diffraction line list of TcOsO5 was calculated for λ = 1.5418 Å (Cu Kα).

```
data_TcOsO5
_cell_length_a 5.6298
_cell_length_b 10.9991
_cell_length_c 6.5824
_cell_angle_alpha 90.00
_cell_angle_beta 101.42
_cell_angle_gamma 90.00
_symmetry_space_group_name_H-M 'C 1 2/c 1'
_symmetry_Int_Tables_number 15
loop_
_symmetry_equiv_pos_as_xyz
'x,y,z'
'-x,-y,-z'
'-x,y,-z+1/2'
'x,-y,z+1/2'
'x+1/2,y+1/2,z'
'-x+1/2,-y+1/2,-z'
'-x+1/2,y+1/2,-z+1/2'
'x+1/2,-y+1/2,z+1/2'
loop_
_atom_site_label
_atom_site_type_symbol
_atom_site_fract_x
_atom_site_fract_y
_atom_site_fract_z
Tc1 Tc 0.0000 0.0000 0.0000
Os1 Os 0.0000 0.4445 0.2500
O1 O 0.0000 0.0823 0.2500
O2 O 0.1648 0.4372 0.9960
O3 O 0.2191 0.1356 0.6321
```

Largest 10 diffraction maxima, most intense first, 15 to 90 degrees two-theta:
two_theta  d/Å  I (rel.)  index
16.12  5.500  100  0 2 0
30.30  2.950  41  1 1 -2
21.23  4.185  23  0 2 1
36.43  2.466  21  2 2 0
35.86  2.504  18  1 1 2
32.45  2.759  16  2 0 0
33.82  2.650  15  1 3 1
31.00  2.885  14  1 3 -1
42.96  2.106  10  1 3 2
35.49  2.530  10  0 4 1

***

Entry 3:
Starting from DFT lattice parameters and positions (PBE), the powder diffraction line list of TiTlOsO6 was calculated for λ = 1.5418 Å (Cu Kα).

```
data_TiTlOsO6
_cell_length_a 5.2357
_cell_length_b 5.2357
_cell_length_c 5.8378
_cell_angle_alpha 90.00
_cell_angle_beta 90.00
_cell_angle_gamma 120.00
_symmetry_space_group_name_H-M 'P 3'
_symmetry_Int_Tables_number 143
loop_
_symmetry_equiv_pos_as_xyz
'x,y,z'
'-y,x-y,z'
'-x+y,-x,z'
loop_
_atom_site_label
_atom_site_type_symbol
_atom_site_fract_x
_atom_site_fract_y
_atom_site_fract_z
Ti1 Ti 0.0000 0.0000 0.0000
Tl1 Tl 0.6667 0.3333 0.4634
Os1 Os 0.3333 0.6667 0.9408
O1 O 0.0616 0.3467 0.1472
O2 O 0.0655 0.7262 0.7742
```

Largest 10 diffraction maxima, most intense first, 15 to 90 degrees two-theta:
two_theta  d/Å  I (rel.)  index
24.86  3.581  100  1 0 1
46.60  1.949  32  2 -1 2
34.25  2.618  28  1 1 0
55.91  1.644  21  3 -1 1
42.79  2.113  21  0 2 1
51.06  1.789  15  1 0 3
19.58  4.534  14  1 0 0
62.93  1.477  13  0 2 3
30.63  2.919  10  0 0 2
73.66  1.286  9  2 1 3